Starting from a PBE-relaxed structure, the PXRD pattern of SrMg14Mn was computed for Cu Kα (weighted mean of Kα1 and Kα2).

Principal peaks in the range 2θ from 15° to 90°, by angle:
2theta, I (rel.)
15.7, 17.3
23.2, 14.9
31.7, 26.5
34.3, 24.3
36.1, 100.0
47.4, 16.2
56.4, 17.4
62.7, 16.7
67.7, 18.3
68.9, 13.8

```
16
Lattice="6.524 0.000 0.000 -3.262 5.650 0.000 0.000 0.000 10.450" Properties=species:S:1:pos:R:3 pbc="T T T"
Sr 0.000 0.000 0.000
Mg -1.572 2.859 0.000
Mg 0.000 1.896 2.795
Mg 0.000 1.896 7.655
Mg -1.620 4.702 2.795
Mg -1.620 4.702 7.655
Mg 1.572 2.859 0.000
Mg 0.000 5.582 0.000
Mg 3.262 0.012 5.225
Mg 1.642 2.819 5.225
Mg 1.620 4.702 2.795
Mg 1.620 4.702 7.655
Mg 3.262 1.883 2.545
Mg 3.262 1.883 7.905
Mg 4.882 2.819 5.225
Mn 0.000 0.000 5.225
```

Starting from a PBE-relaxed structure, the PXRD pattern of SrMg14Mn was computed for Cu Kα (weighted mean of Kα1 and Kα2).

Principal peaks in the range 2θ from 15° to 90°, by angle:
2theta, I (rel.)
17.8, 13.1
31.8, 27.3
34.4, 38.3
36.0, 52.6
36.3, 100.0
47.5, 17.0
56.3, 17.5
62.8, 19.0
67.6, 19.1
69.2, 14.0

```
16
Lattice="10.436 0.000 0.000 0.000 3.237 5.679 0.000 -3.237 5.679" Properties=species:S:1:pos:R:3 pbc="T T T"
Sr 0.000 0.000 0.000
Mg 0.000 -1.560 2.870
Mg 0.000 1.560 2.870
Mg 2.491 0.000 7.496
Mg 2.673 -1.558 4.683
Mg 2.673 1.558 4.683
Mg 2.740 0.000 1.901
Mg 5.218 0.000 5.661
Mg 5.218 -1.603 8.489
Mg 5.218 1.603 8.489
Mg 5.218 0.000 11.322
Mg 7.696 0.000 1.901
Mg 7.763 -1.558 4.683
Mg 7.763 1.558 4.683
Mg 7.945 0.000 7.496
Mn 0.000 0.000 5.572
```

Starting from a PBE-relaxed structure, the PXRD pattern of MgMnTe4 was computed for Cu Kα (weighted mean of Kα1 and Kα2).

Principal peaks in the range 2θ from 15° to 90°, by angle:
2theta, I (rel.)
21.9, 18.6
25.4, 13.1
28.4, 100.0
31.2, 87.9
42.7, 35.3
46.6, 39.5
48.5, 54.1
60.3, 11.1
60.4, 11.0
72.5, 19.1

```
12
Lattice="7.034 0.000 0.000 0.000 7.021 0.000 -0.007 0.000 7.019" Properties=species:S:1:pos:R:3 pbc="T T T"
Mg 0.000 0.000 0.000
Mg -0.004 3.510 3.509
Mn 3.514 0.000 3.509
Mn 3.517 3.510 0.000
Te 0.847 0.784 2.724
Te 0.843 2.726 6.233
Te 2.744 4.345 2.678
Te 2.741 6.186 6.187
Te 4.287 0.835 0.832
Te 4.283 2.676 4.341
Te 6.184 4.295 0.786
Te 6.181 6.236 4.295
```

Starting from a PBE-relaxed structure, the PXRD pattern of Mg3MnTe4 was computed for Cu Kα (weighted mean of Kα1 and Kα2).

Principal peaks in the range 2θ from 15° to 90°, by angle:
2theta, I (rel.)
23.8, 100.0
27.5, 17.1
27.7, 8.4
39.4, 59.2
46.5, 32.7
46.7, 15.9
48.7, 7.1
62.6, 13.0
71.3, 13.1
76.4, 7.3

```
8
Lattice="4.584 0.000 0.000 0.000 4.584 0.000 0.000 0.000 12.902" Properties=species:S:1:pos:R:3 pbc="T T T"
Mg 0.000 0.000 0.000
Mg 2.292 2.292 3.242
Mg 2.292 2.292 9.661
Mn 0.000 0.000 6.451
Te 0.000 2.292 1.615
Te 0.000 2.292 8.002
Te 2.292 0.000 4.900
Te 2.292 0.000 11.287
```

Number 2 is which compound?
SrMg14Mn